No. 1
Nb2CoPb3O9: theoretical powder X-ray diffraction pattern (Cu Kα (weighted mean of Kα1 and Kα2)), based on a cell relaxed with PBE+U.
Peak positions follow from Bragg's law for the DFT cell and can differ from measured ones.

Cell and atoms:
```
data_Nb2CoPb3O9
_cell_length_a 30.039
_cell_length_b 5.762
_cell_length_c 9.978
_cell_angle_alpha 90.00
_cell_angle_beta 109.36
_cell_angle_gamma 90.00
_space_group_name_H-M_alt 'C 1 2/m 1'
_space_group_IT_number 12
_space_group_name_Hall '-C 2y'
loop_
_atom_site_label
_atom_site_type_symbol
_atom_site_fract_x
_atom_site_fract_y
_atom_site_fract_z
Nb1 Nb 0.045 0.000 0.212
Nb2 Nb 0.045 0.500 0.712
Nb3 Nb 0.205 0.000 0.038
Nb4 Nb 0.205 0.500 0.538
Co1 Co 0.125 0.000 0.625
Co2 Co 0.125 0.500 0.125
Pb1 Pb 0.000 0.000 0.500
Pb2 Pb 0.000 0.500 0.000
Pb3 Pb 0.083 0.000 0.918
Pb4 Pb 0.084 0.500 0.417
Pb5 Pb 0.166 0.500 0.833
Pb6 Pb 0.167 0.000 0.332
Pb7 Pb 0.250 0.000 0.750
O1 O 0.000 0.000 0.000
O2 O 0.000 0.250 0.250
O3 O 0.000 0.500 0.500
O4 O 0.082 0.000 0.413
O5 O 0.082 0.246 0.167
O6 O 0.082 0.254 0.666
O7 O 0.082 0.500 0.913
O8 O 0.168 0.000 0.837
O9 O 0.168 0.246 0.083
O10 O 0.168 0.254 0.584
O11 O 0.168 0.500 0.337
O12 O 0.250 0.000 0.250
O13 O 0.250 0.250 0.000
O14 O 0.250 0.250 0.500
```

Main lines, in order of rising 2θ (15 to 90 degrees two-theta):
| d_spacing | I_rel | (hkl) |
| --- | --- | --- |
| 4.079 | 160 | 2 0 2 |
| 2.885 | 1000 | 0 2 0 |
| 2.353 | 113 | 2 2 2 |
| 2.040 | 284 | 4 0 4 |
| 1.669 | 101 | 14 0 2 |
| 1.664 | 305 | 6 0 -6 |
| 1.444 | 89 | 14 2 2 |
| 1.440 | 89 | 0 4 0 |
| 1.291 | 88 | 11 1 5 |
| 1.289 | 89 | 1 1 7 |

***

No. 2
Li3V2Cr2O8: theoretical powder X-ray diffraction pattern (Cu Kα (weighted mean of Kα1 and Kα2)), based on a cell relaxed with PBE+U.
Peak positions follow from Bragg's law for the DFT cell and can differ from measured ones.

Cell and atoms:
```
data_Li3V2Cr2O8
_cell_length_a 5.872
_cell_length_b 5.950
_cell_length_c 5.960
_cell_angle_alpha 90.91
_cell_angle_beta 119.48
_cell_angle_gamma 119.14
_space_group_name_H-M_alt 'P -1'
_space_group_IT_number 2
_space_group_name_Hall '-P 1'
loop_
_atom_site_label
_atom_site_type_symbol
_atom_site_fract_x
_atom_site_fract_y
_atom_site_fract_z
Li1 Li 0.000 0.000 0.000
Li2 Li 0.000 0.500 0.000
Li3 Li 0.500 0.000 0.500
V1 V 0.000 0.500 0.500
V2 V 0.500 0.500 0.000
Cr1 Cr 0.000 0.000 0.500
Cr2 Cr 0.500 0.500 0.500
O1 O 0.001 0.256 0.733
O2 O 0.023 0.263 0.282
O3 O 0.463 0.715 0.730
O4 O 0.481 0.267 0.736
```

Main lines, in order of rising 2θ (15 to 90 degrees two-theta):
| d_spacing | I_rel | (hkl) |
| --- | --- | --- |
| 4.891 | 1000 | 0 0 1 |
| 4.828 | 772 | 1 -1 0 |
| 2.555 | 248 | 1 1 0 |
| 2.511 | 122 | -2 2 1 |
| 2.122 | 441 | 0 2 -2 |
| 2.103 | 426 | 2 0 0 |
| 2.088 | 421 | -2 2 2 |
| 1.497 | 230 | 2 2 -2 |
| 1.490 | 227 | 2 0 -4 |
| 1.487 | 113 | 2 -4 0 |

***

No. 3
LiSm4Ti2Mn2O12: theoretical powder X-ray diffraction pattern (Cu Kα (weighted mean of Kα1 and Kα2)), based on a cell relaxed with PBE+U.
Peak positions follow from Bragg's law for the DFT cell and can differ from measured ones.

Cell and atoms:
```
data_LiSm4Ti2Mn2O12
_cell_length_a 5.499
_cell_length_b 5.852
_cell_length_c 8.081
_cell_angle_alpha 89.32
_cell_angle_beta 87.37
_cell_angle_gamma 89.28
_space_group_name_H-M_alt 'P 1'
_space_group_IT_number 1
_space_group_name_Hall 'P 1'
loop_
_atom_site_label
_atom_site_type_symbol
_atom_site_fract_x
_atom_site_fract_y
_atom_site_fract_z
Li1 Li 0.000 0.000 0.000
Sm1 Sm 0.147 0.051 0.662
Sm2 Sm 0.218 0.216 0.213
Sm3 Sm 0.633 0.694 0.167
Sm4 Sm 0.684 0.557 0.675
Ti1 Ti 0.152 0.591 0.925
Ti2 Ti 0.684 0.121 0.424
Mn1 Mn 0.167 0.633 0.428
Mn2 Mn 0.614 0.121 0.907
O1 O 0.039 0.579 0.162
O2 O 0.281 0.665 0.697
O3 O 0.326 0.922 0.006
O4 O 0.385 0.935 0.382
O5 O 0.453 0.430 0.991
O6 O 0.494 0.425 0.364
O7 O 0.544 0.175 0.657
O8 O 0.806 0.071 0.193
O9 O 0.845 0.796 0.876
O10 O 0.861 0.837 0.503
O11 O 0.975 0.305 0.860
O12 O 0.976 0.310 0.477
```

Main lines, in order of rising 2θ (15 to 90 degrees two-theta):
| d_spacing | I_rel | (hkl) |
| --- | --- | --- |
| 4.033 | 518 | 0 0 2 |
| 3.981 | 251 | 1 -1 0 |
| 3.540 | 287 | -1 1 1 |
| 2.926 | 324 | 0 2 0 |
| 2.912 | 403 | 1 1 2 |
| 2.871 | 563 | 1 -1 2 |
| 2.796 | 1000 | 1 1 -2 |
| 2.745 | 595 | 2 0 0 |
| 2.017 | 383 | 0 0 4 |
| 1.991 | 278 | 2 -2 0 |

***

No. 4
CeMnSbO: theoretical powder X-ray diffraction pattern (Cu Kα (weighted mean of Kα1 and Kα2)), based on a cell relaxed with PBE+U.
Peak positions follow from Bragg's law for the DFT cell and can differ from measured ones.

Cell and atoms:
```
data_CeMnSbO
_cell_length_a 4.202
_cell_length_b 4.202
_cell_length_c 9.500
_cell_angle_alpha 90.00
_cell_angle_beta 90.00
_cell_angle_gamma 90.00
_space_group_name_H-M_alt 'P 4/n m m'
_space_group_IT_number 129
loop_
_space_group_symop_operation_xyz
'x,y,z'
'-x,-y,-z'
'-y+1/2,x,z'
'y+1/2,-x,-z'
'-x+1/2,-y+1/2,z'
'x+1/2,y+1/2,-z'
'y,-x+1/2,z'
'-y,x+1/2,-z'
'x+1/2,-y,-z'
'-x+1/2,y,z'
'-y,-x,-z'
'y,x,z'
'-x,y+1/2,-z'
'x,-y+1/2,z'
'y+1/2,x+1/2,-z'
'-y+1/2,-x+1/2,z'
loop_
_atom_site_label
_atom_site_type_symbol
_atom_site_fract_x
_atom_site_fract_y
_atom_site_fract_z
Ce1 Ce 0.250 0.250 0.119
Mn1 Mn 0.250 0.750 0.500
Sb1 Sb 0.250 0.250 0.699
O1 O 0.250 0.750 0.000
```

Main lines, in order of rising 2θ (15 to 90 degrees two-theta):
| d_spacing | I_rel | (hkl) |
| --- | --- | --- |
| 3.147 | 1000 | 1 0 2 |
| 2.971 | 332 | 1 1 0 |
| 2.836 | 179 | 1 1 1 |
| 2.529 | 386 | 1 0 3 |
| 2.519 | 311 | 1 1 2 |
| 2.101 | 393 | 2 0 0 |
| 1.855 | 147 | 1 1 4 |
| 1.747 | 360 | 2 1 2 |
| 1.616 | 195 | 2 1 3 |
| 1.409 | 147 | 2 0 5 |

***

No. 5
Li2VOF4: theoretical powder X-ray diffraction pattern (Cu Kα (weighted mean of Kα1 and Kα2)), based on a cell relaxed with PBE+U.
Peak positions follow from Bragg's law for the DFT cell and can differ from measured ones.

Cell and atoms:
```
data_Li2VOF4
_cell_length_a 5.252
_cell_length_b 8.579
_cell_length_c 9.390
_cell_angle_alpha 90.66
_cell_angle_beta 93.33
_cell_angle_gamma 92.16
_space_group_name_H-M_alt 'P 1'
_space_group_IT_number 1
_space_group_name_Hall 'P 1'
loop_
_atom_site_label
_atom_site_type_symbol
_atom_site_fract_x
_atom_site_fract_y
_atom_site_fract_z
Li1 Li 0.000 0.000 0.000
Li2 Li 0.014 0.056 0.672
Li3 Li 0.137 0.530 0.297
Li4 Li 0.157 0.491 0.983
Li5 Li 0.491 0.229 0.474
Li6 Li 0.562 0.723 0.155
Li7 Li 0.600 0.229 0.811
Li8 Li 0.641 0.743 0.499
V1 V 0.052 0.420 0.619
V2 V 0.103 0.900 0.361
V3 V 0.494 0.837 0.844
V4 V 0.631 0.332 0.120
O1 O 0.147 0.975 0.203
O2 O 0.409 0.297 0.988
O3 O 0.494 0.724 0.700
O4 O 0.582 0.230 0.264
F1 F 0.203 0.381 0.436
F2 F 0.234 0.989 0.834
F3 F 0.280 0.718 0.968
F4 F 0.308 0.720 0.382
F5 F 0.331 0.293 0.686
F6 F 0.345 0.019 0.486
F7 F 0.433 0.515 0.175
F8 F 0.726 0.016 0.806
F9 F 0.740 0.817 0.002
F10 F 0.813 0.758 0.304
F11 F 0.816 0.236 0.608
F12 F 0.821 0.551 0.520
F13 F 0.875 0.213 0.032
F14 F 0.885 0.927 0.519
F15 F 0.903 0.491 0.131
F16 F 0.952 0.459 0.809
```

Main lines, in order of rising 2θ (15 to 90 degrees two-theta):
| d_spacing | I_rel | (hkl) |
| --- | --- | --- |
| 4.692 | 431 | 1 0 -1 |
| 4.286 | 765 | 0 2 0 |
| 4.165 | 419 | -1 1 1 |
| 4.136 | 1000 | 0 1 -2 |
| 4.089 | 952 | 0 1 2 |
| 4.024 | 584 | 1 -1 1 |
| 3.897 | 560 | 1 1 1 |
| 3.382 | 312 | 1 -2 0 |
| 3.257 | 388 | 1 2 0 |
| 3.209 | 326 | -1 2 1 |

***

No. 6
Li9Mn2Co5O16: theoretical powder X-ray diffraction pattern (Cu Kα (weighted mean of Kα1 and Kα2)), based on a cell relaxed with PBE+U.
Peak positions follow from Bragg's law for the DFT cell and can differ from measured ones.

Cell and atoms:
```
data_Li9Mn2Co5O16
_cell_length_a 5.775
_cell_length_b 6.613
_cell_length_c 7.736
_cell_angle_alpha 89.46
_cell_angle_beta 78.73
_cell_angle_gamma 77.53
_space_group_name_H-M_alt 'P 1'
_space_group_IT_number 1
_space_group_name_Hall 'P 1'
loop_
_atom_site_label
_atom_site_type_symbol
_atom_site_fract_x
_atom_site_fract_y
_atom_site_fract_z
Li1 Li 0.000 0.000 0.000
Li2 Li 0.002 0.486 0.487
Li3 Li 0.125 0.364 0.119
Li4 Li 0.244 0.251 0.760
Li5 Li 0.251 0.740 0.234
Li6 Li 0.496 0.998 0.996
Li7 Li 0.501 0.486 0.492
Li8 Li 0.752 0.243 0.750
Li9 Li 0.761 0.733 0.234
Mn1 Mn 0.375 0.119 0.362
Mn2 Mn 0.625 0.869 0.618
Co1 Co 0.123 0.864 0.623
Co2 Co 0.367 0.611 0.880
Co3 Co 0.632 0.365 0.117
Co4 Co 0.870 0.607 0.880
Co5 Co 0.876 0.115 0.366
O1 O 0.069 0.170 0.535
O2 O 0.072 0.686 0.044
O3 O 0.178 0.563 0.689
O4 O 0.187 0.056 0.204
O5 O 0.323 0.930 0.787
O6 O 0.335 0.401 0.302
O7 O 0.438 0.823 0.444
O8 O 0.455 0.318 0.941
O9 O 0.569 0.685 0.050
O10 O 0.572 0.157 0.542
O11 O 0.670 0.583 0.684
O12 O 0.683 0.050 0.203
O13 O 0.807 0.398 0.296
O14 O 0.809 0.922 0.788
O15 O 0.926 0.315 0.935
O16 O 0.927 0.821 0.444
```

Main lines, in order of rising 2θ (15 to 90 degrees two-theta):
| d_spacing | I_rel | (hkl) |
| --- | --- | --- |
| 4.834 | 1000 | 0 1 1 |
| 2.500 | 152 | 0 2 -2 |
| 2.479 | 125 | 2 0 2 |
| 2.459 | 125 | 2 1 -1 |
| 2.381 | 76 | 0 1 -3 |
| 2.088 | 278 | 0 3 -1 |
| 2.065 | 271 | 2 1 3 |
| 2.049 | 261 | 2 0 -2 |
| 1.474 | 74 | 2 4 2 |
| 1.473 | 73 | -2 3 1 |

***

No. 7
LiV4Ni2O12: theoretical powder X-ray diffraction pattern (Cu Kα (weighted mean of Kα1 and Kα2)), based on a cell relaxed with PBE+U.
Peak positions follow from Bragg's law for the DFT cell and can differ from measured ones.

Cell and atoms:
```
data_LiV4Ni2O12
_cell_length_a 5.742
_cell_length_b 6.737
_cell_length_c 6.927
_cell_angle_alpha 81.93
_cell_angle_beta 76.19
_cell_angle_gamma 72.64
_space_group_name_H-M_alt 'P 1'
_space_group_IT_number 1
_space_group_name_Hall 'P 1'
loop_
_atom_site_label
_atom_site_type_symbol
_atom_site_fract_x
_atom_site_fract_y
_atom_site_fract_z
Li1 Li 0.000 0.000 0.000
V1 V 0.031 0.545 0.824
V2 V 0.072 0.087 0.435
V3 V 0.569 0.329 0.012
V4 V 0.592 0.890 0.607
Ni1 Ni 0.094 0.625 0.300
Ni2 Ni 0.589 0.788 0.138
O1 O 0.060 0.329 0.342
O2 O 0.113 0.644 0.584
O3 O 0.181 0.925 0.238
O4 O 0.269 0.018 0.620
O5 O 0.353 0.367 0.864
O6 O 0.470 0.521 0.183
O7 O 0.618 0.080 0.127
O8 O 0.633 0.750 0.829
O9 O 0.691 0.735 0.414
O10 O 0.761 0.083 0.559
O11 O 0.881 0.317 0.881
O12 O 0.975 0.698 0.039
```

Main lines, in order of rising 2θ (15 to 90 degrees two-theta):
| d_spacing | I_rel | (hkl) |
| --- | --- | --- |
| 4.817 | 238 | 1 1 0 |
| 4.691 | 274 | 1 0 1 |
| 4.471 | 365 | 0 1 -1 |
| 3.158 | 1000 | 1 2 0 |
| 3.067 | 414 | 0 1 2 |
| 2.980 | 204 | 0 2 1 |
| 2.680 | 409 | 2 0 0 |
| 2.468 | 170 | 1 -2 0 |
| 1.999 | 327 | 1 3 -1 |
| 1.719 | 149 | 1 1 4 |